Record 1
Starting from a structure optimized by DFT (PBE), the X-ray powder pattern of Zr2P3O12 was computed for CuKα.
Intensities are scaled so that the largest is 100.

Top 10 peaks for 2θ from 10° to 90°, most intense first:
- d = 4.559 Å, intensity 100, (1 0 4)
- d = 3.885 Å, intensity 48, (1 1 3)
- d = 2.628 Å, intensity 38, (3 0 0)
- d = 3.223 Å, intensity 38, (0 2 4)
- d = 2.038 Å, intensity 26, (1 2 8)
- d = 6.445 Å, intensity 23, (0 1 2)
- d = 2.886 Å, intensity 22, (1 1 6)
- d = 1.722 Å, intensity 18, (3 2 4)
- d = 1.720 Å, intensity 14, (4 1 0)
- d = 1.790 Å, intensity 11, (2 1 10)

Atomic structure:
a b c (Å): 9.0993 9.0993 22.4033
angles (deg): 90.00 90.00 120.00
Space group R-3c (No. 167, hexagonal axes)
Symmetry-distinct sites (fractional):
Zr 0.0000 0.0000 0.1389
P 0.0000 0.2853 0.2500
O 0.0125 0.1938 0.1942
O 0.0267 0.2021 0.9128

Record 2
Starting from a structure optimized by DFT (PBE), the X-ray powder pattern of ZrP2O7 was computed for CuKα.
Intensities are scaled so that the largest is 100.

Top 10 peaks for 2θ from 10° to 90°, most intense first:
- d = 4.275 Å, intensity 100, (2 0 0)
- d = 2.578 Å, intensity 37, (3 1 1)
- d = 3.824 Å, intensity 36, (2 1 0)
- d = 3.491 Å, intensity 34, (2 1 1)
- d = 4.937 Å, intensity 32, (1 1 1)
- d = 3.023 Å, intensity 31, (2 2 0)
- d = 1.912 Å, intensity 28, (4 0 2)
- d = 1.646 Å, intensity 25, (5 1 1)
- d = 1.745 Å, intensity 24, (4 2 2)
- d = 1.512 Å, intensity 11, (4 4 0)

Atomic structure:
a b c (Å): 8.551 8.551 8.551
angles (deg): 90.00 90.00 90.00
Space group Pa-3 (No. 205)
Symmetry-distinct sites (fractional):
Zr 0.000 0.000 0.000
P 0.107 0.607 0.893
O 0.000 0.000 0.500
O 0.057 0.725 0.422

Record 3
Starting from a structure optimized by DFT (PBE), the X-ray powder pattern of Zr2P4O17 was computed for CuKα.
Intensities are scaled so that the largest is 100.

Top 10 peaks for 2θ from 10° to 90°, most intense first:
- d = 3.677 Å, intensity 100, (1 1 -3)
- d = 7.422 Å, intensity 89, (0 0 2)
- d = 4.679 Å, intensity 46, (1 1 -1)
- d = 3.484 Å, intensity 38, (2 0 2)
- d = 4.558 Å, intensity 38, (2 0 0)
- d = 2.733 Å, intensity 27, (3 1 -1)
- d = 1.839 Å, intensity 22, (2 2 -6)
- d = 2.127 Å, intensity 16, (2 2 -4)
- d = 2.687 Å, intensity 14, (1 1 -5)
- d = 2.747 Å, intensity 13, (0 2 0)

Atomic structure:
a b c (Å): 9.474 5.494 15.426
angles (deg): 90.00 105.79 90.00
Space group C2 (No. 5)
Symmetry-distinct sites (fractional):
Zr 0.250 0.000 0.250
P 0.134 0.493 0.364
P 0.134 0.997 0.864
O 0.000 0.369 0.000
O 0.033 0.458 0.669
O 0.034 0.026 0.170
O 0.177 0.736 0.328
O 0.178 0.754 0.828
O 0.183 0.513 0.468
O 0.184 0.001 0.968
O 0.209 0.280 0.330
O 0.210 0.209 0.830

Record 4
Starting from a structure optimized by DFT (PBE), the X-ray powder pattern of PaO was computed for CuKα.
Intensities are scaled so that the largest is 100.

Top 8 peaks for 2θ from 10° to 90°, most intense first:
- d = 2.851 Å, intensity 100, (1 1 1)
- d = 2.469 Å, intensity 69, (2 0 0)
- d = 1.746 Å, intensity 49, (2 2 0)
- d = 1.489 Å, intensity 46, (3 1 1)
- d = 1.104 Å, intensity 23, (4 2 0)
- d = 1.133 Å, intensity 20, (3 3 1)
- d = 1.425 Å, intensity 17, (2 2 2)
- d = 1.234 Å, intensity 8, (4 0 0)

Atomic structure:
a b c (Å): 4.938 4.938 4.938
angles (deg): 90.00 90.00 90.00
Space group Fm-3m (No. 225)
Symmetry-distinct sites (fractional):
Pa 0.000 0.000 0.000
O 0.000 0.000 0.500

Record 5
Starting from a structure optimized by DFT (PBE), the X-ray powder pattern of PmPaO4 was computed for CuKα.
Intensities are scaled so that the largest is 100.

Top 10 peaks for 2θ from 10° to 90°, most intense first:
- d = 3.158 Å, intensity 100, (1 0 1)
- d = 1.939 Å, intensity 34, (1 1 2)
- d = 1.644 Å, intensity 31, (2 1 1)
- d = 2.722 Å, intensity 23, (1 1 0)
- d = 1.925 Å, intensity 17, (2 0 0)
- d = 1.661 Å, intensity 16, (1 0 3)
- d = 1.257 Å, intensity 13, (2 1 3)
- d = 2.762 Å, intensity 12, (0 0 2)
- d = 1.114 Å, intensity 11, (3 1 2)
- d = 1.579 Å, intensity 10, (2 0 2)

Atomic structure:
a b c (Å): 3.850 3.850 5.524
angles (deg): 90.00 90.00 90.00
Space group P4/mmm (No. 123)
Symmetry-distinct sites (fractional):
Pm 0.000 0.000 0.000
Pa 0.500 0.500 0.500
O 0.000 0.500 0.267

Record 6
Starting from a structure optimized by DFT (PBE), the X-ray powder pattern of PmPaO4 was computed for CuKα.
Intensities are scaled so that the largest is 100.

Top 10 peaks for 2θ from 10° to 90°, most intense first:
- d = 3.158 Å, intensity 100, (1 1 2)
- d = 1.931 Å, intensity 34, (2 0 4)
- d = 1.653 Å, intensity 31, (3 1 2)
- d = 2.744 Å, intensity 23, (2 0 0)
- d = 1.940 Å, intensity 17, (2 2 0)
- d = 1.641 Å, intensity 15, (1 1 6)
- d = 1.253 Å, intensity 13, (3 1 6)
- d = 2.717 Å, intensity 11, (0 0 4)
- d = 1.118 Å, intensity 11, (4 2 4)
- d = 1.579 Å, intensity 10, (2 2 4)

Atomic structure:
a b c (Å): 5.488 5.488 10.869
angles (deg): 90.00 90.00 90.00
Space group I4_1/amd (No. 141, origin choice 2)
Symmetry-distinct sites (fractional):
Pm 0.000 0.250 0.375
Pa 0.000 0.250 0.875
O 0.233 0.000 0.000

Record 7
Starting from a structure optimized by DFT (PBE), the X-ray powder pattern of PrPaO4 was computed for CuKα.
Intensities are scaled so that the largest is 100.

Top 10 peaks for 2θ from 10° to 90°, most intense first:
- d = 3.187 Å, intensity 100, (1 1 2)
- d = 1.946 Å, intensity 34, (2 0 4)
- d = 1.671 Å, intensity 31, (3 1 2)
- d = 2.775 Å, intensity 23, (2 0 0)
- d = 1.962 Å, intensity 17, (2 2 0)
- d = 1.652 Å, intensity 16, (1 1 6)
- d = 1.264 Å, intensity 13, (3 1 6)
- d = 1.130 Å, intensity 11, (4 2 4)
- d = 2.731 Å, intensity 11, (0 0 4)
- d = 1.593 Å, intensity 10, (2 2 4)

Atomic structure:
a b c (Å): 5.549 5.549 10.926
angles (deg): 90.00 90.00 90.00
Space group I4_1/amd (No. 141, origin choice 2)
Symmetry-distinct sites (fractional):
Pr 0.000 0.250 0.375
Pa 0.000 0.250 0.875
O 0.229 0.000 0.000

Record 8
Starting from a structure optimized by DFT (PBE), the X-ray powder pattern of PrPaO4 was computed for CuKα.
Intensities are scaled so that the largest is 100.

Top 10 peaks for 2θ from 10° to 90°, most intense first:
- d = 3.183 Å, intensity 100, (1 0 1)
- d = 1.956 Å, intensity 35, (1 1 2)
- d = 1.654 Å, intensity 30, (2 1 1)
- d = 2.737 Å, intensity 22, (1 1 0)
- d = 1.935 Å, intensity 17, (2 0 0)
- d = 1.680 Å, intensity 16, (1 0 3)
- d = 1.269 Å, intensity 13, (2 1 3)
- d = 2.798 Å, intensity 12, (0 0 2)
- d = 1.121 Å, intensity 11, (3 1 2)
- d = 1.592 Å, intensity 10, (2 0 2)

Atomic structure:
a b c (Å): 3.870 3.870 5.595
angles (deg): 90.00 90.00 90.00
Space group P4/mmm (No. 123)
Symmetry-distinct sites (fractional):
Pr 0.000 0.000 0.000
Pa 0.500 0.500 0.500
O 0.000 0.500 0.271

Record 9
Starting from a structure optimized by DFT (PBE), the X-ray powder pattern of PuPaO4 was computed for CuKα.
Intensities are scaled so that the largest is 100.

Top 10 peaks for 2θ from 10° to 90°, most intense first:
- d = 3.143 Å, intensity 100, (1 1 2)
- d = 1.923 Å, intensity 33, (2 0 4)
- d = 1.643 Å, intensity 32, (3 1 2)
- d = 2.725 Å, intensity 25, (2 0 0)
- d = 1.927 Å, intensity 16, (2 2 0)
- d = 1.638 Å, intensity 16, (1 1 6)
- d = 1.248 Å, intensity 13, (3 1 6)
- d = 2.714 Å, intensity 12, (0 0 4)
- d = 1.112 Å, intensity 11, (4 2 4)
- d = 1.571 Å, intensity 11, (2 2 4)

Atomic structure:
a b c (Å): 5.451 5.451 10.856
angles (deg): 90.00 90.00 90.00
Space group I4_1/amd (No. 141, origin choice 2)
Symmetry-distinct sites (fractional):
Pu 0.000 0.250 0.375
Pa 0.000 0.250 0.875
O 0.238 0.000 0.000

Record 10
Starting from a structure optimized by DFT (PBE), the X-ray powder pattern of PuPaO4 was computed for CuKα.
Intensities are scaled so that the largest is 100.

Top 10 peaks for 2θ from 10° to 90°, most intense first:
- d = 3.146 Å, intensity 100, (1 0 1)
- d = 1.930 Å, intensity 33, (1 1 2)
- d = 1.639 Å, intensity 31, (2 1 1)
- d = 2.716 Å, intensity 25, (1 1 0)
- d = 1.920 Å, intensity 16, (2 0 0)
- d = 1.651 Å, intensity 16, (1 0 3)
- d = 1.252 Å, intensity 13, (2 1 3)
- d = 2.742 Å, intensity 13, (0 0 2)
- d = 1.110 Å, intensity 11, (3 1 2)
- d = 1.573 Å, intensity 11, (2 0 2)

Atomic structure:
a b c (Å): 3.841 3.841 5.484
angles (deg): 90.00 90.00 90.00
Space group P4/mmm (No. 123)
Symmetry-distinct sites (fractional):
Pu 0.000 0.000 0.000
Pa 0.500 0.500 0.500
O 0.000 0.500 0.262

Record 11
Starting from a structure optimized by DFT (PBE), the X-ray powder pattern of Pa2Rh2O5 was computed for CuKα.
Intensities are scaled so that the largest is 100.

Top 10 peaks for 2θ from 10° to 90°, most intense first:
- d = 2.619 Å, intensity 100, (1 0 2)
- d = 2.851 Å, intensity 67, (1 1 0)
- d = 1.597 Å, intensity 46, (2 1 2)
- d = 2.016 Å, intensity 37, (2 0 0)
- d = 2.196 Å, intensity 25, (1 1 2)
- d = 4.032 Å, intensity 20, (1 0 0)
- d = 1.275 Å, intensity 12, (3 1 0)
- d = 1.425 Å, intensity 12, (2 2 0)
- d = 1.584 Å, intensity 11, (1 0 4)
- d = 1.245 Å, intensity 10, (2 1 4)

Atomic structure:
a b c (Å): 4.032 4.032 6.889
angles (deg): 90.00 90.00 90.00
Space group P4/mmm (No. 123)
Symmetry-distinct sites (fractional):
Pa 0.000 0.000 0.000
Pa 0.000 0.000 0.500
Rh 0.500 0.500 0.191
O 0.000 0.500 0.239
O 0.500 0.500 0.500

Record 12
Starting from a structure optimized by DFT (PBE), the X-ray powder pattern of ScPaO4 was computed for CuKα.
Intensities are scaled so that the largest is 100.

Top 10 peaks for 2θ from 10° to 90°, most intense first:
- d = 3.034 Å, intensity 100, (1 1 2)
- d = 4.696 Å, intensity 62, (1 0 1)
- d = 1.860 Å, intensity 37, (2 0 4)
- d = 1.582 Å, intensity 29, (3 1 2)
- d = 2.289 Å, intensity 21, (2 1 1)
- d = 2.923 Å, intensity 20, (1 0 3)
- d = 2.622 Å, intensity 19, (2 0 0)
- d = 1.854 Å, intensity 18, (2 2 0)
- d = 1.590 Å, intensity 15, (1 1 6)
- d = 1.952 Å, intensity 13, (2 1 3)

Atomic structure:
a b c (Å): 5.244 5.244 10.560
angles (deg): 90.00 90.00 90.00
Space group I4_1/amd (No. 141, origin choice 2)
Symmetry-distinct sites (fractional):
Sc 0.000 0.250 0.375
Pa 0.000 0.250 0.875
O 0.248 0.000 0.500

Copy entry 4 word for word.
Starting from a structure optimized by DFT (PBE), the X-ray powder pattern of PaO was computed for CuKα.
Intensities are scaled so that the largest is 100.

Top 8 peaks for 2θ from 10° to 90°, most intense first:
- d = 2.851 Å, intensity 100, (1 1 1)
- d = 2.469 Å, intensity 69, (2 0 0)
- d = 1.746 Å, intensity 49, (2 2 0)
- d = 1.489 Å, intensity 46, (3 1 1)
- d = 1.104 Å, intensity 23, (4 2 0)
- d = 1.133 Å, intensity 20, (3 3 1)
- d = 1.425 Å, intensity 17, (2 2 2)
- d = 1.234 Å, intensity 8, (4 0 0)

Atomic structure:
a b c (Å): 4.938 4.938 4.938
angles (deg): 90.00 90.00 90.00
Space group Fm-3m (No. 225)
Symmetry-distinct sites (fractional):
Pa 0.000 0.000 0.000
O 0.000 0.000 0.500